# Pm5Tm2Sn4
Calculated PXRD pattern, Cu Kα X-rays. Input: a GGA-PBE-relaxed structure.
No peak broadening, texture or thermal motion is included.

Top 6 peaks for 2θ = 10–80°, in order of falling intensity:
2θ (°), I (rel.), h k l
34.27, 1000, 1 1 2
30.96, 983, 8 0 -1
37.92, 940, 7 1 -1
32.68, 898, 6 0 2
30.51, 829, 3 1 1
32.92, 618, 2 0 -3

Cell and atoms:
Cell: 23.974 3.467 8.246 Å, 90.00 95.03 90.00°
Space group C2/m (No. 12)
Inequivalent atoms, fractional coordinates:
Pm  0.000  0.000  0.000 [2 per cell]
Pm  0.146  0.500  0.089 [4 per cell]
Pm  0.230  0.500  0.732 [4 per cell]
Tm  0.084  0.500  0.691 [4 per cell]
Sn  0.044  0.500  0.325 [4 per cell]
Sn  0.157  0.000  0.444 [4 per cell]